For Tl3In4Sn4, DFT lattice parameters and positions (PBE) gives the calculated X-ray diffraction stick pattern in this record (Cu Kα (λ = 1.5418 Å)).

Cell and atoms:
```
data_Tl3In4Sn4
_chemical_formula_sum 'Tl3 In4 Sn4'
_space_group_name_H-M_alt 'P 1'
_space_group_IT_number 1
_space_group_name_Hall 'P 1'
_cell_length_a 13.3663
_cell_length_b 13.3663
_cell_length_c 4.5642
_cell_angle_alpha 91.02
_cell_angle_beta 91.02
_cell_angle_gamma 23.55
loop_
_atom_site_label
_atom_site_type_symbol
_atom_site_fract_x
_atom_site_fract_y
_atom_site_fract_z
Tl1 Tl 0.0000 0.0000 0.0000
Tl2 Tl 0.3615 0.3615 0.1803
Tl3 Tl 0.6385 0.6385 0.8197
In1 In 0.0920 0.0920 0.5259
In2 In 0.2624 0.2624 0.6786
In3 In 0.7376 0.7376 0.3214
In4 In 0.9080 0.9080 0.4741
Sn1 Sn 0.1837 0.1837 0.1446
Sn2 Sn 0.4578 0.4578 0.7104
Sn3 Sn 0.5422 0.5422 0.2896
Sn4 Sn 0.8163 0.8163 0.8554
```

Main lines, by intensity (2θ from 5° to 70°):
- 2θ = 30.93°, I = 100
- 2θ = 28.04°, I = 60
- 2θ = 32.83°, I = 44
- 2θ = 41.41°, I = 43
- 2θ = 43.71°, I = 37
- 2θ = 43.05°, I = 36